No. 1
For SrSi4Ru4, a cell relaxed with GGA-PBE gives the computed PXRD pattern in this record (Cu Kα (λ = 1.5418 Å)).
Neutral-atom scattering factors, no anomalous dispersion.

Cell and atoms:
abc: 8.1018 8.1018 4.6516
angles: 90.00 90.00 90.00
Space group P4_2/n (No. 86, origin choice 2)
Asymmetric unit:
Sr1 0.2500 0.2500 0.2500
Si1 0.0604 0.5966 0.1658
Ru1 0.1200 0.8791 0.1597

Main lines, in order of rising 2θ (2θ = 10–80°):
- hkl 1 1 0, 15.47°, I = 54
- hkl 1 2 1, 31.29°, I = 100
- hkl 1 3 0, 35.02°, I = 99
- hkl 1 0 2, 40.35°, I = 48
- hkl 4 0 0, 44.78°, I = 71
- hkl 3 0 2, 51.88°, I = 36

No. 2
For KC2, a cell relaxed with GGA-PBE gives the computed PXRD pattern in this record (Cu Kα (λ = 1.5418 Å)).
Neutral-atom scattering factors, no anomalous dispersion.

Cell and atoms:
abc: 2.6515 8.3571 3.8987
angles: 90.00 90.00 90.00
Space group Cmmm (No. 65)
Asymmetric unit:
K1 0.0000 0.0000 0.0000
C1 0.0000 0.2697 0.5000

Main lines, in order of rising 2θ (2θ = 10–80°):
- hkl 0 2 1, 31.38°, I = 100
- hkl 1 1 0, 35.52°, I = 26
- hkl 1 1 1, 42.63°, I = 38
- hkl 0 4 0, 43.31°, I = 16
- hkl 0 0 2, 46.59°, I = 14
- hkl 1 3 0, 47.33°, I = 16

No. 3
For Ca3Al11, a cell relaxed with GGA-PBE gives the computed PXRD pattern in this record (Cu Kα (λ = 1.5418 Å)).
Neutral-atom scattering factors, no anomalous dispersion.

Cell and atoms:
abc: 4.4287 10.1642 12.7274
angles: 90.00 90.00 90.00
Space group Immm (No. 71)
Asymmetric unit:
Ca1 0.0000 0.0000 0.0000
Ca2 0.0000 0.0000 0.3072
Al1 0.0000 0.1979 0.5000
Al2 0.0000 0.2771 0.1404
Al3 0.0000 0.3700 0.3421
Al4 0.0000 0.5000 0.0000

Main lines, in order of rising 2θ (2θ = 10–80°):
- hkl 1 3 0, 33.27°, I = 41
- hkl 0 3 3, 33.86°, I = 21
- hkl 1 2 3, 34.17°, I = 100
- hkl 1 3 2, 36.24°, I = 22
- hkl 2 0 0, 40.75°, I = 37
- hkl 0 0 6, 42.62°, I = 20

No. 4
For BaSr3Ir, a cell relaxed with GGA-PBE gives the computed PXRD pattern in this record (Cu Kα (λ = 1.5418 Å)).
Neutral-atom scattering factors, no anomalous dispersion.

Cell and atoms:
abc: 7.4210 7.1212 8.7182
angles: 90.00 90.16 90.00
Space group P2_1 (No. 4)
Asymmetric unit:
Ba1 0.0837 0.0000 0.3654
Sr1 0.0722 0.0132 0.8863
Sr2 0.4224 0.5395 0.3587
Sr3 0.4273 0.5242 0.8857
Ir1 0.2485 0.7700 0.1256

Main lines, in order of rising 2θ (2θ = 10–80°):
- hkl 1 0 1, 15.69°, I = 40
- hkl 1 1 0, 17.26°, I = 50
- hkl 1 1 -2, 26.82°, I = 100
- hkl 2 1 0, 27.09°, I = 51
- hkl 1 2 2, 34.70°, I = 58
- hkl 2 2 0, 34.92°, I = 35

No. 5
For Li4Bi2O5, a cell relaxed with GGA-PBE gives the computed PXRD pattern in this record (Cu Kα (λ = 1.5418 Å)).
Neutral-atom scattering factors, no anomalous dispersion.

Cell and atoms:
abc: 13.8025 4.6527 8.9778
angles: 90.00 90.00 90.00
Space group Pnna (No. 52)
Asymmetric unit:
Li1 0.0061 0.0594 0.1383
Li2 0.1254 0.7500 0.2500
Li3 0.2500 0.0000 0.1178
Bi1 0.1272 0.0391 0.5345
O1 0.0284 0.0031 0.3512
O2 0.1179 0.5151 0.4940
O3 0.2500 0.0000 0.3580

Main lines, in order of rising 2θ (2θ = 10–80°):
- hkl 0 0 2, 19.78°, I = 65
- hkl 0 1 1, 21.51°, I = 100
- hkl 4 0 0, 25.82°, I = 35
- hkl 4 0 2, 32.73°, I = 43
- hkl 4 1 1, 33.85°, I = 60
- hkl 4 2 2, 51.56°, I = 24

No. 6
For La2PmZn3, a cell relaxed with GGA-PBE gives the computed PXRD pattern in this record (Cu Kα (λ = 1.5418 Å)).
Neutral-atom scattering factors, no anomalous dispersion.

Cell and atoms:
abc: 5.2685 5.2685 6.4641
angles: 90.00 90.00 120.00
Space group P-3m1 (No. 164)
Asymmetric unit:
La1 0.3333 0.6667 0.1694
Pm1 0.0000 0.0000 0.5000
Zn1 0.0000 0.0000 0.0000
Zn2 0.3333 0.6667 0.6621

Main lines, in order of rising 2θ (2θ = 10–80°):
- hkl 1 0 1, 23.87°, I = 13
- hkl 1 1 0, 34.01°, I = 100
- hkl 2 0 2, 48.87°, I = 18
- hkl 1 2 2, 60.86°, I = 27
- hkl 3 0 0, 60.91°, I = 9
- hkl 2 2 0, 71.60°, I = 11